# PuTlOsO6
Simulated X-ray diffraction stick pattern, Cu Kα (weighted mean of Kα1 and Kα2). Input: DFT lattice parameters and positions (GGA-PBE).

Cell and atoms:
a = 7.330 Å, b = 7.727 Å, c = 10.651 Å
α = 90.00°, β = 90.00°, γ = 90.00°
Space group Imma (No. 74)
Inequivalent atoms, fractional coordinates:
Pu: 0.000 0.000 0.000 [4 per cell]
Tl: 0.000 0.250 0.372 [4 per cell]
Os: 0.250 0.250 0.750 [4 per cell]
O: 0.000 0.250 0.080 [4 per cell]
O: 0.000 0.250 0.712 [4 per cell]
O: 0.211 0.071 0.875 [16 per cell]

The 6 most intense peaks (2θ from 5° to 70°), sorted by position:
two_theta, I/Imax
27.41, 100.0
27.92, 52.0
28.22, 80.1
28.54, 63.2
29.59, 50.1
48.38, 68.0



# Nd3BiRu4O14
Simulated X-ray diffraction stick pattern, Cu Kα (weighted mean of Kα1 and Kα2). Input: DFT lattice parameters and positions (GGA-PBE).

Cell and atoms:
a = 7.4143 Å, b = 7.4143 Å, c = 17.9444 Å
α = 90.00°, β = 90.00°, γ = 120.00°
Space group R-3m (No. 166, hexagonal axes)
Inequivalent atoms, fractional coordinates:
Nd: 0.0000 0.5000 0.0000 [9 per cell]
Bi: 0.0000 0.0000 0.5000 [3 per cell]
Ru: 0.0000 0.0000 0.0000 [3 per cell]
Ru: 0.0000 0.5000 0.5000 [9 per cell]
O: 0.0000 0.0000 0.3742 [6 per cell]
O: 0.0590 0.5295 0.6102 [18 per cell]
O: 0.0605 0.5303 0.8584 [18 per cell]

The 6 most intense peaks (2θ from 5° to 70°), sorted by position:
two_theta, I/Imax
29.55, 100.0
29.88, 33.0
34.35, 44.7
49.15, 31.3
49.58, 30.3
58.59, 29.0



# CeCo3Ge5
Simulated X-ray diffraction stick pattern, Cu Kα (weighted mean of Kα1 and Kα2). Input: DFT lattice parameters and positions (GGA-PBE).

Cell and atoms:
a = 10.445 Å, b = 8.146 Å, c = 8.815 Å
α = 90.00°, β = 120.58°, γ = 90.00°
Space group C2/m (No. 12)
Inequivalent atoms, fractional coordinates:
Ce: 0.087 0.000 0.299 [4 per cell]
Co: 0.000 0.000 0.000 [2 per cell]
Co: 0.000 0.000 0.500 [2 per cell]
Co: 0.133 0.500 0.651 [4 per cell]
Co: 0.201 0.500 0.185 [4 per cell]
Ge: 0.000 0.307 0.000 [4 per cell]
Ge: 0.086 0.500 0.353 [4 per cell]
Ge: 0.165 0.226 0.652 [8 per cell]
Ge: 0.248 0.000 0.044 [4 per cell]

The 6 most intense peaks (2θ from 5° to 70°), sorted by position:
two_theta, I/Imax
21.82, 58.1
30.92, 46.7
35.44, 99.3
35.56, 100.0
44.10, 37.6
44.49, 41.9



# Ce2FeGe6
Simulated X-ray diffraction stick pattern, Cu Kα (weighted mean of Kα1 and Kα2). Input: DFT lattice parameters and positions (GGA-PBE).

Cell and atoms:
a = 6.0892 Å, b = 6.0892 Å, c = 5.2274 Å
α = 90.00°, β = 90.00°, γ = 120.00°
Space group P-3m1 (No. 164)
Inequivalent atoms, fractional coordinates:
Ce: 0.3333 0.6667 0.2877 [2 per cell]
Fe: 0.0000 0.0000 0.5000 [1 per cell]
Ge: 0.1728 0.3456 0.7965 [6 per cell]

The 6 most intense peaks (2θ from 5° to 70°), sorted by position:
two_theta, I/Imax
34.03, 27.2
34.31, 19.1
38.23, 100.0
38.44, 14.2
49.08, 18.9
60.85, 20.3



# Sr2TaBiO6
Simulated X-ray diffraction stick pattern, Cu Kα (weighted mean of Kα1 and Kα2). Input: DFT lattice parameters and positions (GGA-PBE).

Cell and atoms:
a = 5.874 Å, b = 5.874 Å, c = 4.912 Å
α = 90.00°, β = 90.00°, γ = 90.00°
Space group P4mm (No. 99)
Inequivalent atoms, fractional coordinates:
Sr: 0.000 0.500 0.000 [2 per cell]
Ta: 0.000 0.000 0.586 [1 per cell]
Bi: 0.500 0.500 0.579 [1 per cell]
O: 0.000 0.000 0.208 [1 per cell]
O: 0.227 0.227 0.700 [4 per cell]
O: 0.500 0.500 0.134 [1 per cell]

The 6 most intense peaks (2θ from 5° to 70°), sorted by position:
two_theta, I/Imax
21.39, 21.2
28.14, 100.0
30.44, 42.3
43.58, 24.0
48.31, 22.6
52.68, 36.0



# Ba6PdPt2
Simulated X-ray diffraction stick pattern, Cu Kα (weighted mean of Kα1 and Kα2). Input: DFT lattice parameters and positions (GGA-PBE).

Cell and atoms:
a = 8.0397 Å, b = 8.0397 Å, c = 7.4733 Å
α = 90.00°, β = 90.00°, γ = 120.00°
Space group P-31m (No. 162)
Inequivalent atoms, fractional coordinates:
Ba: 0.0000 0.3372 0.2726 [6 per cell]
Pd: 0.0000 0.0000 0.5000 [1 per cell]
Pt: 0.3333 0.6667 0.5000 [2 per cell]

The 6 most intense peaks (2θ from 5° to 70°), sorted by position:
two_theta, I/Imax
11.84, 52.1
25.16, 100.0
32.72, 62.3
38.80, 40.3
42.70, 30.6
46.80, 18.5



# Na8B11C5
Simulated X-ray diffraction stick pattern, Cu Kα (weighted mean of Kα1 and Kα2). Input: DFT lattice parameters and positions (GGA-PBE).

Cell and atoms:
a = 17.382 Å, b = 4.989 Å, c = 5.776 Å
α = 90.00°, β = 99.57°, γ = 90.00°
Space group C2 (No. 5)
Inequivalent atoms, fractional coordinates:
Na: 0.126 0.000 0.063 [4 per cell]
Na: 0.127 0.003 0.563 [4 per cell]
Na: 0.127 0.501 0.813 [4 per cell]
Na: 0.127 0.502 0.313 [4 per cell]
B: 0.000 0.162 0.252 [4 per cell]
B: 0.000 0.342 0.500 [2 per cell]
B: 0.000 0.351 0.000 [2 per cell]
B: 0.000 0.686 0.500 [2 per cell]
B: 0.000 0.820 0.235 [4 per cell]
B: 0.250 0.169 0.375 [4 per cell]
B: 0.250 0.169 0.875 [4 per cell]
C: 0.000 0.666 0.000 [2 per cell]
C: 0.250 0.334 0.125 [4 per cell]
C: 0.250 0.334 0.625 [4 per cell]

The 6 most intense peaks (2θ from 5° to 70°), sorted by position:
two_theta, I/Imax
35.95, 27.6
41.84, 100.0
41.90, 50.6
42.18, 38.3
56.59, 15.2
64.67, 17.2



# Er4ZnCu2Ni
Simulated X-ray diffraction stick pattern, Cu Kα (weighted mean of Kα1 and Kα2). Input: DFT lattice parameters and positions (GGA-PBE).

Cell and atoms:
a = 4.8609 Å, b = 4.8609 Å, c = 23.7961 Å
α = 90.00°, β = 90.00°, γ = 120.00°
Space group R-3m (No. 166, hexagonal axes)
Inequivalent atoms, fractional coordinates:
Er: 0.0000 0.0000 0.1207 [6 per cell]
Er: 0.0000 0.0000 0.3713 [6 per cell]
Zn: 0.0000 0.0000 0.5000 [3 per cell]
Cu: 0.0000 0.0000 0.2460 [6 per cell]
Ni: 0.0000 0.0000 0.0000 [3 per cell]

The 6 most intense peaks (2θ from 5° to 70°), sorted by position:
two_theta, I/Imax
25.93, 21.1
37.00, 100.0
45.73, 6.2
53.32, 17.0
60.22, 8.4
66.67, 33.6



# DyEr5In3
Simulated X-ray diffraction stick pattern, Cu Kα (weighted mean of Kα1 and Kα2). Input: DFT lattice parameters and positions (GGA-PBE).

Cell and atoms:
a = 9.2689 Å, b = 9.2689 Å, c = 6.6852 Å
α = 90.00°, β = 90.00°, γ = 120.00°
Space group P6_3/mcm (No. 193)
Inequivalent atoms, fractional coordinates:
Dy: 0.0000 0.0000 0.0000 [2 per cell]
Er: 0.0000 0.3331 0.2500 [6 per cell]
Er: 0.3333 0.6667 0.0000 [4 per cell]
In: 0.0000 0.3343 0.7500 [6 per cell]

The 6 most intense peaks (2θ from 5° to 70°), sorted by position:
two_theta, I/Imax
33.04, 96.8
33.49, 100.0
47.76, 34.6
59.59, 35.6
59.87, 18.7
65.89, 28.0



# SmThHg4
Simulated X-ray diffraction stick pattern, Cu Kα (weighted mean of Kα1 and Kα2). Input: DFT lattice parameters and positions (GGA-PBE).

Cell and atoms:
a = 3.423 Å, b = 5.054 Å, c = 8.742 Å
α = 90.00°, β = 90.01°, γ = 90.00°
Space group P2/m (No. 10)
Inequivalent atoms, fractional coordinates:
Sm: 0.000 0.000 0.000 [1 per cell]
Th: 0.000 0.500 0.500 [1 per cell]
Hg: 0.498 0.500 0.164 [2 per cell]
Hg: 0.500 0.000 0.331 [2 per cell]

The 6 most intense peaks (2θ from 5° to 70°), sorted by position:
two_theta, I/Imax
33.23, 100.0
35.55, 96.5
49.45, 33.3
62.38, 33.5
63.84, 18.1
65.93, 32.9



# La3PmGe2
Simulated X-ray diffraction stick pattern, Cu Kα (weighted mean of Kα1 and Kα2). Input: DFT lattice parameters and positions (GGA-PBE).

Cell and atoms:
a = 4.565 Å, b = 4.672 Å, c = 16.884 Å
α = 90.00°, β = 90.00°, γ = 90.00°
Space group Immm (No. 71)
Inequivalent atoms, fractional coordinates:
La: 0.000 0.000 0.000 [2 per cell]
La: 0.000 0.500 0.318 [4 per cell]
Pm: 0.000 0.000 0.500 [2 per cell]
Ge: 0.000 0.500 0.133 [4 per cell]

The 6 most intense peaks (2θ from 5° to 70°), sorted by position:
two_theta, I/Imax
29.33, 100.0
31.80, 27.1
34.74, 60.7
38.54, 26.2
39.48, 24.5
51.57, 38.2



# HfBiI2
Simulated X-ray diffraction stick pattern, Cu Kα (weighted mean of Kα1 and Kα2). Input: DFT lattice parameters and positions (GGA-PBE).

Cell and atoms:
a = 10.365 Å, b = 10.365 Å, c = 5.743 Å
α = 90.00°, β = 90.00°, γ = 90.00°
Space group I-42d (No. 122)
Inequivalent atoms, fractional coordinates:
Hf: 0.000 0.000 0.000 [4 per cell]
Bi: 0.000 0.000 0.500 [4 per cell]
I: 0.110 0.250 0.125 [8 per cell]

The 6 most intense peaks (2θ from 5° to 70°), sorted by position:
two_theta, I/Imax
17.11, 100.0
24.29, 64.4
24.68, 65.7
33.52, 87.8
38.85, 93.6
41.82, 82.8



# Ba3Sr2Ca2In4
Simulated X-ray diffraction stick pattern, Cu Kα (weighted mean of Kα1 and Kα2). Input: DFT lattice parameters and positions (GGA-PBE).

Cell and atoms:
a = 5.9217 Å, b = 5.9217 Å, c = 14.5433 Å
α = 90.00°, β = 90.00°, γ = 120.00°
Space group P-3m1 (No. 164)
Inequivalent atoms, fractional coordinates:
Ba: 0.0000 0.0000 0.0000 [1 per cell]
Ba: 0.0000 0.0000 0.2761 [2 per cell]
Sr: 0.3333 0.6667 0.5841 [2 per cell]
Ca: 0.3333 0.6667 0.1204 [2 per cell]
In: 0.3333 0.6667 0.3481 [2 per cell]
In: 0.3333 0.6667 0.8699 [2 per cell]

The 6 most intense peaks (2θ from 5° to 70°), sorted by position:
two_theta, I/Imax
18.33, 7.4
21.20, 10.2
25.28, 13.4
30.16, 100.0
43.17, 16.0
53.59, 27.5